# Y3Pt4
Computed X-ray powder pattern, Cu Kα, 1.54184 Å. Input: a PBE-relaxed structure.
Lines closer than 0.1° are merged.

The 12 most intense peaks (5 to 70 degrees two-theta), in order of rising 2θ:
d_spacing  Rel. int.  index
3.821  12  3 0 0
3.455  24  2 1 1
2.779  19  4 -3 1
2.562  21  2 0 2
2.501  96  1 4 0
2.389  100  3 -2 2
2.128  24  3 1 2
1.937  13  5 -3 2
1.835  14  5 2 0
1.728  18  4 2 2
1.518  13  1 7 0
1.421  30  9 -4 1

Structural model:
```
data_Y3Pt4
_chemical_formula_sum 'Y18 Pt24'
_space_group_name_H-M_alt 'R -3'
_space_group_IT_number 148
_space_group_name_Hall '-R 3'
_cell_length_a 13.2360
_cell_length_b 13.2360
_cell_length_c 5.7274
_cell_angle_alpha 90.00
_cell_angle_beta 90.00
_cell_angle_gamma 120.00
loop_
_atom_site_label
_atom_site_fract_x
_atom_site_fract_y
_atom_site_fract_z
_atom_site_occupancy
Y1 0.0429 0.2103 0.2371 1
Pt1 0.0000 0.0000 0.0000 1
Pt2 0.0000 0.0000 0.5000 1
Pt3 0.0535 0.2725 0.7198 1
```